(1)
Diffraction record for La2U2Se9. The X-ray diffraction stick pattern is calculated, not measured: it uses DFT lattice parameters and positions (PBE) and a wavelength of 1.5418 Å.

Crystal structure
Lattice parameters (Å, degrees): 10.8127 5.6106 10.5459 90.00 90.00 90.00
Space group Pmma (No. 51)
Asymmetric unit:
La1 0.2500 0.0000 0.0262 x2
La2 0.2500 0.0000 0.5710 x2
U1 0.0084 0.5000 0.2521 x4
Se1 0.0000 0.2512 0.5000 x4
Se2 0.0498 0.0000 0.8090 x4
Se3 0.1241 0.5000 0.9998 x4
Se4 0.2500 0.2514 0.2865 x4
Se5 0.2500 0.5000 0.6865 x2

Main lines, in order of rising 2θ (5 to 70 degrees two-theta):
d 3.893, 22.84 deg, I = 55; d 3.842, 23.15 deg, I = 40; d 3.775, 23.57 deg, I = 30; d 2.947, 30.33 deg, I = 28; d 2.805, 31.90 deg, I = 30; d 2.705, 33.12 deg, I = 54; d 2.635, 34.03 deg, I = 48; d 2.252, 40.04 deg, I = 100; d 2.211, 40.82 deg, I = 66; d 2.183, 41.36 deg, I = 25

***

(2)
Diffraction record for Na2TlPt2Pb3. The X-ray diffraction stick pattern is calculated, not measured: it uses DFT lattice parameters and positions (PBE) and a wavelength of 1.5418 Å.

Crystal structure
Lattice parameters (Å, degrees): 4.4262 6.0111 8.1741 89.83 89.98 68.45
Space group P1 (No. 1)
Asymmetric unit:
Na1 0.0000 0.0000 0.0000 x1
Na2 0.1356 0.7321 0.5072 x1
Tl1 0.4285 0.1421 0.7111 x1
Pt1 0.2821 0.4400 0.0061 x1
Pt2 0.8512 0.2966 0.5026 x1
Pb1 0.4255 0.1492 0.3046 x1
Pb2 0.7116 0.5801 0.2063 x1
Pb3 0.7140 0.5753 0.7992 x1

Main lines, in order of rising 2θ (5 to 70 degrees two-theta):
d 5.591, 15.85 deg, I = 78; d 4.615, 19.23 deg, I = 55; d 4.115, 21.59 deg, I = 47; d 2.900, 30.83 deg, I = 85; d 2.851, 31.38 deg, I = 33; d 2.692, 33.28 deg, I = 46; d 2.340, 38.48 deg, I = 80; d 2.272, 39.67 deg, I = 100; d 2.213, 40.77 deg, I = 51; d 1.502, 61.75 deg, I = 41

***

Please write out number 2 again, unchanged.
Diffraction record for Na2TlPt2Pb3. The X-ray diffraction stick pattern is calculated, not measured: it uses DFT lattice parameters and positions (PBE) and a wavelength of 1.5418 Å.

Crystal structure
Lattice parameters (Å, degrees): 4.4262 6.0111 8.1741 89.83 89.98 68.45
Space group P1 (No. 1)
Asymmetric unit:
Na1 0.0000 0.0000 0.0000 x1
Na2 0.1356 0.7321 0.5072 x1
Tl1 0.4285 0.1421 0.7111 x1
Pt1 0.2821 0.4400 0.0061 x1
Pt2 0.8512 0.2966 0.5026 x1
Pb1 0.4255 0.1492 0.3046 x1
Pb2 0.7116 0.5801 0.2063 x1
Pb3 0.7140 0.5753 0.7992 x1

Main lines, in order of rising 2θ (5 to 70 degrees two-theta):
d 5.591, 15.85 deg, I = 78; d 4.615, 19.23 deg, I = 55; d 4.115, 21.59 deg, I = 47; d 2.900, 30.83 deg, I = 85; d 2.851, 31.38 deg, I = 33; d 2.692, 33.28 deg, I = 46; d 2.340, 38.48 deg, I = 80; d 2.272, 39.67 deg, I = 100; d 2.213, 40.77 deg, I = 51; d 1.502, 61.75 deg, I = 41

***

Please write out number 2 again, unchanged.
Diffraction record for Na2TlPt2Pb3. The X-ray diffraction stick pattern is calculated, not measured: it uses DFT lattice parameters and positions (PBE) and a wavelength of 1.5418 Å.

Crystal structure
Lattice parameters (Å, degrees): 4.4262 6.0111 8.1741 89.83 89.98 68.45
Space group P1 (No. 1)
Asymmetric unit:
Na1 0.0000 0.0000 0.0000 x1
Na2 0.1356 0.7321 0.5072 x1
Tl1 0.4285 0.1421 0.7111 x1
Pt1 0.2821 0.4400 0.0061 x1
Pt2 0.8512 0.2966 0.5026 x1
Pb1 0.4255 0.1492 0.3046 x1
Pb2 0.7116 0.5801 0.2063 x1
Pb3 0.7140 0.5753 0.7992 x1

Main lines, in order of rising 2θ (5 to 70 degrees two-theta):
d 5.591, 15.85 deg, I = 78; d 4.615, 19.23 deg, I = 55; d 4.115, 21.59 deg, I = 47; d 2.900, 30.83 deg, I = 85; d 2.851, 31.38 deg, I = 33; d 2.692, 33.28 deg, I = 46; d 2.340, 38.48 deg, I = 80; d 2.272, 39.67 deg, I = 100; d 2.213, 40.77 deg, I = 51; d 1.502, 61.75 deg, I = 41